For NiP2WO9, a PBE+U-relaxed structure gives the computed XRD peak list in this record (Cu Kα, 1.54184 Å).

Main lines, low angle first (10° ≤ 2θ ≤ 90°):
2θ (°)  d/Å  I (rel.)  hkl
16.8  5.287  85  2 0 1
17.7  5.022  60  0 1 1
18.7  4.735  100  2 1 0
23.0  3.862  57  1 0 2
27.7  3.217  26  0 2 0
30.6  2.921  36  1 2 1
31.1  2.878  30  4 1 1
32.6  2.750  41  2 2 1

Structural model:
Cell lengths 14.0468, 6.4342, 8.0331 Å; angles 90.00, 90.00, 90.00 degrees
Element x y z (fractional)
Ni 0.0000 0.0000 0.0000
Ni 0.0000 0.5000 0.0000
Ni 0.5000 0.0000 0.5000
Ni 0.5000 0.5000 0.5000
P 0.0567 0.2500 0.3416
P 0.1824 0.2500 0.8942
P 0.3176 0.7500 0.3942
P 0.4433 0.7500 0.8416
P 0.5567 0.2500 0.1584
P 0.6824 0.2500 0.6058
P 0.8176 0.7500 0.1058
P 0.9433 0.7500 0.6584
W 0.1248 0.7500 0.3533
W 0.3752 0.2500 0.8533
W 0.6248 0.7500 0.1467
W 0.8752 0.2500 0.6467
O 0.0181 0.2500 0.1653
O 0.0221 0.7500 0.5234
O 0.0572 0.7500 0.1607
O 0.1200 0.0567 0.3730
O 0.1200 0.4433 0.3730
O 0.1271 0.0494 0.8989
O 0.1271 0.4506 0.8989
O 0.2301 0.7500 0.5238
O 0.2459 0.7500 0.2327
O 0.2541 0.2500 0.7327
O 0.2699 0.2500 0.0238
O 0.3729 0.5494 0.3989
O 0.3729 0.9506 0.3989
O 0.3800 0.5567 0.8730
O 0.3800 0.9433 0.8730
O 0.4428 0.2500 0.6607
O 0.4779 0.2500 0.0234
O 0.4819 0.7500 0.6653
O 0.5181 0.2500 0.3347
O 0.5221 0.7500 0.9766
O 0.5572 0.7500 0.3393
O 0.6200 0.0567 0.1270
O 0.6200 0.4433 0.1270
O 0.6271 0.0494 0.6011
O 0.6271 0.4506 0.6011
O 0.7301 0.7500 0.9762
O 0.7459 0.7500 0.2673
O 0.7541 0.2500 0.7673
O 0.7699 0.2500 0.4762
O 0.8729 0.5494 0.1011
O 0.8729 0.9506 0.1011
O 0.8800 0.5567 0.6270
O 0.8800 0.9433 0.6270
O 0.9428 0.2500 0.8393
O 0.9779 0.2500 0.4766
O 0.9819 0.7500 0.8347